Simulated X-ray diffraction stick pattern
Compound: Rb2ScSe2
Radiation: λ = 1.5418 Å (Cu Kα)
Structure: a cell relaxed with PBE
Kinematic intensities with the Lorentz-polarization factor, no thermal factor.

Atomic structure:
```
data_Rb2ScSe2
_cell_length_a 7.7845
_cell_length_b 13.8448
_cell_length_c 6.7422
_cell_angle_alpha 90.00
_cell_angle_beta 90.00
_cell_angle_gamma 90.00
_space_group_name_H-M_alt 'I b a m'
_space_group_IT_number 72
_space_group_name_Hall '-I 2 2c'
loop_
_atom_site_label
_atom_site_type_symbol
_atom_site_fract_x
_atom_site_fract_y
_atom_site_fract_z
Rb1 Rb 0.1479 0.1500 0.0000
Sc1 Sc 0.0000 0.5000 0.2500
Se1 Se 0.1959 0.3987 0.0000
```

Peak list (10 most intense, 2θ = 15–90°, by intensity)
27.23 deg, d 3.275, intensity 100; 26.44 deg, d 3.371, intensity 59; 37.23 deg, d 2.415, intensity 57; 31.24 deg, d 2.863, intensity 51; 25.74 deg, d 3.461, intensity 39; 22.40 deg, d 3.970, intensity 35; 32.90 deg, d 2.722, intensity 34; 35.22 deg, d 2.548, intensity 32; 56.13 deg, d 1.639, intensity 25; 34.68 deg, d 2.586, intensity 24